[1]
Computed powder diffraction line list of MgGa4Pt2 for Cu Kα, 1.54184 Å, from DFT lattice parameters and positions (PBE).

Cell: 16.095 4.031 7.514 Å, 90.00 90.00 90.00°
Space group Pnma (No. 62)
Asymmetric unit:
1 Mg 0.149 0.250 0.109 x4
2 Ga 0.032 0.750 0.889 x4
3 Ga 0.067 0.250 0.493 x4
4 Ga 0.182 0.750 0.801 x4
5 Ga 0.194 0.750 0.400 x4
6 Pt 0.048 0.750 0.263 x4
7 Pt 0.226 0.250 0.602 x4

Top 6 peaks for 5° ≤ 2θ ≤ 70°, by angle:
2θ (°), d [Å], Rel. int., hkl
22.09, 4.024, 43, 4 0 0
25.09, 3.549, 100, 4 0 1
34.48, 2.601, 39, 2 1 2
43.29, 2.090, 37, 5 1 2
44.03, 2.057, 99, 2 1 3
44.99, 2.015, 62, 0 2 0


[2]
Computed powder diffraction line list of Li12Cd2Ag for Cu Kα, 1.54184 Å, from DFT lattice parameters and positions (PBE).

Cell: 5.518 5.518 19.703 Å, 90.00 90.00 90.00°
Space group P4/nbm (No. 125, origin choice 2)
Asymmetric unit:
1 Li 0.000 0.000 0.094 x8
2 Li 0.071 0.571 0.437 x8
3 Li 0.250 0.250 0.211 x4
4 Li 0.250 0.250 0.339 x4
5 Cd 0.250 0.750 0.290 x4
6 Ag 0.250 0.750 0.000 x2

Top 6 peaks for 5° ≤ 2θ ≤ 70°, by angle:
2θ (°), d [Å], Rel. int., hkl
13.48, 6.568, 100, 0 0 3
22.79, 3.902, 94, 1 1 0
26.57, 3.355, 86, 1 1 3
29.20, 3.059, 54, 1 1 4
35.28, 2.544, 46, 2 0 3
39.47, 2.283, 54, 1 1 7